For Y2UMnO8, a structure optimized by DFT (GGA+U) gives the simulated X-ray powder pattern in this record (Cu Kα).
Neutral-atom scattering factors, no anomalous dispersion.

The 10 most intense peaks (2θ = 15–90°), by angle:
(1 0 0), 17.80°, I 157
(1 1 0), 22.27°, I 462
(1 0 -1), 24.75°, I 698
(1 0 1), 25.79°, I 575
(1 2 0), 32.31°, I 1000
(0 0 2), 36.05°, I 287
(2 2 -1), 48.59°, I 469
(2 2 1), 49.76°, I 378
(0 2 3), 62.47°, I 254
(3 2 -2), 72.92°, I 110

Atomic structure:
abc: 4.9858 6.6679 4.9875
angles: 90.00 92.32 90.00
Atoms (fractional coordinates):
1 Y 0.0000 0.2350 0.0000
2 Y 0.0000 0.7650 0.0000
3 U 0.5000 0.5000 0.5000
4 Mn 0.5000 0.0000 0.5000
5 O 0.2070 0.5000 0.2045
6 O 0.2246 0.0000 0.2234
7 O 0.3235 0.2405 0.6750
8 O 0.3235 0.7595 0.6750
9 O 0.6765 0.2405 0.3250
10 O 0.6765 0.7595 0.3250
11 O 0.7754 0.0000 0.7766
12 O 0.7930 0.5000 0.7955